Pm2ErZn6: theoretical X-ray powder pattern (Cu Kα X-rays), based on a cell relaxed with GGA-PBE.
Neutral-atom scattering factors, no anomalous dispersion.

Peak list (8 most intense, 10° ≤ 2θ ≤ 80°, in order of rising 2θ)
2θ = 22.7°, I = 18, hkl 1 1 0; 2θ = 34.1°, I = 100, hkl 1 1 1; 2θ = 39.8°, I = 57, hkl 3 0 0; 2θ = 51.5°, I = 9, hkl 0 0 2; 2θ = 53.4°, I = 28, hkl 2 2 1; 2θ = 67.1°, I = 23, hkl 3 0 2; 2θ = 68.7°, I = 25, hkl 4 1 1; 2θ = 72.3°, I = 9, hkl 3 3 0

a b c (Å): 7.837 7.837 3.546
angles (deg): 90.00 90.00 120.00
Fractional coordinates of all 9 atoms:
Pm (0.333, 0.667, 0.000)
Pm (0.667, 0.333, 0.000)
Er (0.000, 0.000, 0.000)
Zn (0.000, 0.330, 0.500)
Zn (0.000, 0.670, 0.500)
Zn (0.330, 0.000, 0.500)
Zn (0.330, 0.330, 0.500)
Zn (0.670, 0.000, 0.500)
Zn (0.670, 0.670, 0.500)

Pr2Dy2Bi2C: theoretical X-ray powder pattern (Cu Kα X-rays), based on a cell relaxed with GGA-PBE.
Neutral-atom scattering factors, no anomalous dispersion.

Peak list (8 most intense, 10° ≤ 2θ ≤ 80°, in order of rising 2θ)
2θ = 25.9°, I = 19, hkl 1 1 0; 2θ = 28.0°, I = 51, hkl 1 1 2; 2θ = 32.2°, I = 23, hkl 0 0 6; 2θ = 33.8°, I = 100, hkl 1 1 4; 2θ = 36.9°, I = 53, hkl 2 0 0; 2θ = 49.8°, I = 28, hkl 2 0 6; 2θ = 53.2°, I = 19, hkl 2 2 0; 2θ = 64.5°, I = 32, hkl 3 1 4

a b c (Å): 4.867 4.867 16.701
angles (deg): 90.00 90.00 90.00
Fractional coordinates of all 14 atoms:
Pr (0.000, 0.000, 0.160)
Pr (0.000, 0.000, 0.840)
Pr (0.500, 0.500, 0.340)
Pr (0.500, 0.500, 0.660)
Dy (0.000, 0.500, 0.000)
Dy (0.000, 0.500, 0.500)
Dy (0.500, 0.000, 0.000)
Dy (0.500, 0.000, 0.500)
Bi (0.000, 0.000, 0.362)
Bi (0.000, 0.000, 0.638)
Bi (0.500, 0.500, 0.138)
Bi (0.500, 0.500, 0.862)
C (0.000, 0.000, 0.000)
C (0.500, 0.500, 0.500)